[1]
Tl2InBiCl6: simulated XRD peak list (copper Kα), based on a cell relaxed with GGA-PBE.
No peak broadening, texture or thermal motion is included.

Principal peaks in the range 10 to 80 degrees two-theta, by angle:
hkl, two_theta, Rel. int.
0 1 2, 15.7, 28
1 0 4, 22.0, 95
1 1 0, 22.6, 100
0 2 4, 31.8, 56
2 -1 6, 35.2, 58
3 -1 4, 39.3, 50
3 0 0, 39.7, 41
2 2 0, 46.2, 19
1 0 10, 47.2, 19
2 1 10, 58.3, 19

Atomic structure:
a b c (Å): 7.8618 7.8618 20.0943
angles (deg): 90.00 90.00 120.00
Space group R3 (No. 146, hexagonal axes)
Unique sites:
Tl 0.0000 0.0000 0.0000 x3
Tl 0.0000 0.0000 0.4933 x3
In 0.0000 0.0000 0.2098 x3
Bi 0.0000 0.0000 0.7034 x3
Cl 0.0119 0.4056 0.4425 x9
Cl 0.0825 0.7060 0.2846 x9

[2]
Li2Ag7Ge2: simulated XRD peak list (copper Kα), based on a cell relaxed with GGA-PBE.
No peak broadening, texture or thermal motion is included.

Principal peaks in the range 10 to 80 degrees two-theta, by angle:
hkl, two_theta, Rel. int.
0 0 1, 19.6, 20
2 0 -1, 21.6, 35
2 2 0, 28.5, 26
3 1 -1, 30.7, 27
1 1 -2, 37.6, 20
0 4 0, 38.2, 58
4 0 -1, 38.4, 33
2 2 1, 40.1, 100
2 2 -2, 40.8, 54
4 4 -1, 55.3, 21

Atomic structure:
a b c (Å): 9.3741 9.4263 5.0436
angles (deg): 90.00 116.35 90.00
Space group C2/m (No. 12)
Unique sites:
Li 0.0000 0.1929 0.0000 x4
Ag 0.0000 0.0000 0.5000 x2
Ag 0.0906 0.5000 0.3188 x4
Ag 0.1717 0.2510 0.6828 x8
Ge 0.2423 0.5000 0.9677 x4

[3]
Pm2PrDyEr5: simulated XRD peak list (copper Kα), based on a cell relaxed with GGA-PBE.
No peak broadening, texture or thermal motion is included.

Principal peaks in the range 10 to 80 degrees two-theta, by angle:
hkl, two_theta, Rel. int.
2 1 3, 28.8, 46
2 2 0, 28.9, 52
2 0 4, 31.1, 100
3 1 0, 32.4, 12
3 2 1, 37.6, 17
4 0 2, 43.1, 20
0 0 8, 47.5, 12
4 2 4, 52.6, 23
2 2 8, 56.6, 13
4 4 8, 79.9, 13

Atomic structure:
a b c (Å): 8.7350 8.7350 15.2985
angles (deg): 90.00 90.00 90.00
Space group I4/mcm (No. 140)
Unique sites:
Pm 0.1159 0.3841 0.0000 x8
Pr 0.0000 0.0000 0.2500 x4
Dy 0.0000 0.5000 0.2500 x4
Er 0.0000 0.0000 0.0000 x4
Er 0.2095 0.2905 0.3635 x16

[4]
TbDyNiIr: simulated XRD peak list (copper Kα), based on a cell relaxed with GGA-PBE.
No peak broadening, texture or thermal motion is included.

Principal peaks in the range 10 to 80 degrees two-theta, by angle:
hkl, two_theta, Rel. int.
1 1 1, 32.8, 100
0 0 4, 34.2, 23
0 1 3, 34.5, 37
1 0 4, 40.7, 28
1 1 3, 41.1, 58
2 0 0, 43.8, 26
0 2 0, 46.9, 21
2 1 3, 57.0, 18
1 2 4, 63.8, 15
2 2 0, 66.1, 15

Atomic structure:
a b c (Å): 4.1299 3.8750 10.4996
angles (deg): 90.00 90.00 90.00
Space group Amm2 (No. 38)
Unique sites:
Tb 0.0000 0.0000 0.0000 x2
Dy 0.5000 0.0000 0.7151 x2
Ni 0.0000 0.0000 0.2811 x2
Ir 0.5000 0.0000 0.4312 x2

[5]
Na2CaSiO4: simulated XRD peak list (copper Kα), based on a cell relaxed with GGA-PBE.
No peak broadening, texture or thermal motion is included.

Principal peaks in the range 10 to 80 degrees two-theta, by angle:
hkl, two_theta, Rel. int.
1 1 0, 16.7, 10
1 1 1, 20.4, 25
2 2 0, 33.7, 100
3 0 1, 37.8, 25
3 0 2, 43.3, 11
3 1 2, 45.1, 25
4 0 0, 48.4, 25
4 2 2, 60.2, 25
5 1 0, 63.0, 10
4 4 0, 70.8, 14

Atomic structure:
a b c (Å): 7.5265 7.5265 7.5265
angles (deg): 90.00 90.00 90.00
Space group P2_13 (No. 198)
Unique sites:
Na 0.0085 0.4915 0.5085 x4
Na 0.2231 0.2231 0.2231 x4
Ca 0.0372 0.5372 0.9628 x4
Si 0.2411 0.2589 0.7411 x4
O 0.0279 0.2384 0.7916 x12
O 0.1344 0.8656 0.3656 x4

[6]
NaZr2P3O12: simulated XRD peak list (copper Kα), based on a cell relaxed with GGA-PBE.
No peak broadening, texture or thermal motion is included.

Principal peaks in the range 10 to 80 degrees two-theta, by angle:
hkl, two_theta, Rel. int.
0 1 2, 13.8, 26
1 0 4, 19.2, 77
1 1 0, 19.9, 100
1 1 3, 23.0, 91
0 2 4, 27.8, 50
1 1 6, 30.7, 96
3 0 0, 34.8, 42
2 2 6, 47.1, 30
2 1 10, 50.4, 24
4 1 0, 54.3, 30

Atomic structure:
a b c (Å): 8.9381 8.9381 23.0161
angles (deg): 90.00 90.00 120.00
Space group R-3c (No. 167, hexagonal axes)
Unique sites:
Na 0.0000 0.0000 0.0000 x6
Zr 0.0000 0.0000 0.1452 x12
P 0.0000 0.2912 0.2500 x18
O 0.0139 0.1995 0.1952 x36
O 0.0233 0.1939 0.9138 x36